# 1
The following is a computed powder diffraction line list of Dy3InH. It was derived from a structure optimized by DFT (PBE), using Cu Ka.
Peak positions follow from Bragg's law for the DFT cell and can differ from measured ones.

Largest 10 diffraction maxima, most intense first, 2θ = 10–80°:
| d/Å | Position (°2θ) | intensity |
| --- | --- | --- |
| 2.875 | 31.11 | 100 |
| 2.821 | 31.72 | 82 |
| 2.742 | 32.66 | 73 |
| 2.598 | 34.53 | 51 |
| 2.936 | 30.44 | 50 |
| 3.080 | 28.99 | 49 |
| 2.533 | 35.44 | 41 |
| 2.632 | 34.07 | 40 |
| 2.469 | 36.39 | 31 |
| 1.468 | 63.37 | 28 |

Crystal structure
```
Dy3InH
1.0
8.429 0.000 0.000
0.000 6.622 0.000
-7.564 0.000 8.672
Dy In H
12 4 4
direct
0.028 0.040 0.251 Dy
0.028 0.460 0.751 Dy
0.270 0.125 0.642 Dy
0.270 0.375 0.142 Dy
0.451 0.748 0.474 Dy
0.451 0.752 0.974 Dy
0.549 0.248 0.026 Dy
0.549 0.252 0.526 Dy
0.730 0.625 0.858 Dy
0.730 0.875 0.358 Dy
0.972 0.540 0.249 Dy
0.972 0.960 0.749 Dy
0.216 0.641 0.609 In
0.216 0.859 0.109 In
0.784 0.141 0.891 In
0.784 0.359 0.391 In
0.329 0.034 0.488 H
0.329 0.466 0.988 H
0.671 0.534 0.012 H
0.671 0.966 0.512 H
```


# 2
The following is a computed powder diffraction line list of DyInH8Ir2. It was derived from a structure optimized by DFT (PBE), using Cu Ka.
Peak positions follow from Bragg's law for the DFT cell and can differ from measured ones.

Largest 10 diffraction maxima, most intense first, 2θ = 10–80°:
| d/Å | Position (°2θ) | intensity |
| --- | --- | --- |
| 3.044 | 29.34 | 100 |
| 2.370 | 37.96 | 51 |
| 2.125 | 42.54 | 42 |
| 2.785 | 32.14 | 27 |
| 2.476 | 36.28 | 18 |
| 1.503 | 61.73 | 14 |
| 2.180 | 41.42 | 14 |
| 1.690 | 54.30 | 12 |
| 1.522 | 60.86 | 12 |
| 3.966 | 22.42 | 11 |

Crystal structure
```
DyInH8Ir2
1.0
4.396 -2.125 0.000
4.396 2.125 0.000
-1.567 0.000 5.915
Dy In H Ir
1 1 8 2
direct
0.000 0.000 0.000 Dy
0.500 0.500 0.500 In
0.082 0.560 0.179 H
0.172 0.172 0.391 H
0.413 0.413 0.893 H
0.440 0.918 0.821 H
0.560 0.082 0.179 H
0.587 0.587 0.107 H
0.828 0.828 0.609 H
0.918 0.440 0.821 H
0.250 0.250 0.677 Ir
0.750 0.750 0.323 Ir
```


# 3
The following is a computed powder diffraction line list of DyH5Ir. It was derived from a structure optimized by DFT (PBE), using Cu Ka.
Peak positions follow from Bragg's law for the DFT cell and can differ from measured ones.

Largest 10 diffraction maxima, most intense first, 2θ = 10–80°:
| d/Å | Position (°2θ) | intensity |
| --- | --- | --- |
| 2.980 | 29.99 | 100 |
| 2.219 | 40.65 | 89 |
| 3.326 | 26.80 | 67 |
| 1.910 | 47.62 | 29 |
| 2.332 | 38.60 | 25 |
| 1.452 | 64.13 | 24 |
| 1.360 | 69.08 | 19 |
| 1.674 | 54.86 | 19 |
| 1.324 | 71.23 | 17 |
| 1.937 | 46.92 | 15 |

Crystal structure
```
DyH5Ir
1.0
-1.937 2.332 3.326
1.937 -2.332 3.326
1.937 2.332 -3.326
Dy H Ir
1 5 1
direct
0.000 0.000 0.000 Dy
0.065 0.329 0.736 H
0.407 0.671 0.736 H
0.500 0.000 0.500 H
0.593 0.329 0.264 H
0.935 0.671 0.264 H
0.500 0.500 0.000 Ir
```


# 4
The following is a computed powder diffraction line list of DyH4IrPd2. It was derived from a structure optimized by DFT (PBE), using Cu Ka.
Peak positions follow from Bragg's law for the DFT cell and can differ from measured ones.

Largest 10 diffraction maxima, most intense first, 2θ = 10–80°:
| d/Å | Position (°2θ) | intensity |
| --- | --- | --- |
| 2.552 | 35.16 | 100 |
| 2.468 | 36.40 | 92 |
| 2.211 | 40.82 | 68 |
| 1.525 | 60.74 | 31 |
| 2.103 | 43.01 | 29 |
| 1.522 | 60.85 | 21 |
| 1.309 | 72.17 | 19 |
| 1.274 | 74.47 | 17 |
| 3.914 | 22.72 | 17 |
| 1.347 | 69.84 | 14 |

Crystal structure
```
DyH4IrPd2
1.0
4.426 0.000 0.000
-0.230 4.423 0.000
-2.103 -2.200 4.206
Dy H Ir Pd
1 4 1 2
direct
0.000 0.000 0.000 Dy
0.106 0.545 0.094 H
0.405 0.423 0.572 H
0.453 0.012 0.908 H
0.857 0.842 0.425 H
0.255 0.754 0.500 Ir
0.499 0.498 0.000 Pd
0.752 0.256 0.501 Pd
```


# 5
The following is a computed powder diffraction line list of PrDyH8Ir2. It was derived from a structure optimized by DFT (PBE), using Cu Ka.
Peak positions follow from Bragg's law for the DFT cell and can differ from measured ones.

Largest 10 diffraction maxima, most intense first, 2θ = 10–80°:
| d/Å | Position (°2θ) | intensity |
| --- | --- | --- |
| 3.117 | 28.64 | 100 |
| 2.438 | 36.87 | 56 |
| 1.920 | 47.34 | 26 |
| 2.027 | 44.72 | 24 |
| 1.508 | 61.47 | 24 |
| 1.313 | 71.89 | 14 |
| 1.558 | 59.30 | 10 |
| 1.407 | 66.43 | 10 |
| 1.302 | 72.61 | 8 |
| 1.219 | 78.47 | 6 |

Crystal structure
```
PrDyH8Ir2
1.0
2.438 1.407 6.160
-2.438 1.407 6.160
0.000 -2.815 6.160
Pr Dy H Ir
1 1 8 2
direct
0.000 0.000 0.000 Pr
0.500 0.500 0.500 Dy
0.044 0.890 0.392 H
0.110 0.608 0.956 H
0.323 0.323 0.323 H
0.392 0.044 0.890 H
0.608 0.956 0.110 H
0.677 0.677 0.677 H
0.890 0.392 0.044 H
0.956 0.110 0.608 H
0.236 0.236 0.236 Ir
0.764 0.764 0.764 Ir
```


# 6
The following is a computed powder diffraction line list of DyH8Ir2Rh. It was derived from a structure optimized by DFT (PBE), using Cu Ka.
Peak positions follow from Bragg's law for the DFT cell and can differ from measured ones.

Largest 10 diffraction maxima, most intense first, 2θ = 10–80°:
| d/Å | Position (°2θ) | intensity |
| --- | --- | --- |
| 2.902 | 30.81 | 100 |
| 2.318 | 38.86 | 68 |
| 1.427 | 65.39 | 27 |
| 1.811 | 50.39 | 26 |
| 2.577 | 34.82 | 22 |
| 1.454 | 64.04 | 14 |
| 1.861 | 48.94 | 13 |
| 1.338 | 70.36 | 12 |
| 1.230 | 77.62 | 10 |
| 2.060 | 43.95 | 9 |

Crystal structure
```
DyH8Ir2Rh
1.0
2.318 1.338 5.601
-2.318 1.338 5.601
0.000 -2.676 5.601
Dy H Ir Rh
1 8 2 1
direct
0.000 0.000 0.000 Dy
0.143 0.406 0.763 H
0.237 0.857 0.594 H
0.321 0.321 0.321 H
0.406 0.763 0.143 H
0.594 0.237 0.857 H
0.679 0.679 0.679 H
0.763 0.143 0.406 H
0.857 0.594 0.237 H
0.225 0.225 0.225 Ir
0.775 0.775 0.775 Ir
0.500 0.500 0.500 Rh
```